Entry 1:
Diffraction record for Ba2CdI6. The powder diffractogram is calculated, not measured: it uses a structure optimized by DFT (PBE) and Cu Kα.

```
data_Ba2CdI6
_space_group_name_H-M_alt 'P 1 21/c 1'
_space_group_IT_number 14
_space_group_name_Hall '-P 2ybc'
_cell_length_a 7.8204
_cell_length_b 9.0355
_cell_length_c 13.4167
_cell_angle_alpha 90.00
_cell_angle_beta 124.66
_cell_angle_gamma 90.00
loop_
_atom_site_label
_atom_site_fract_x
_atom_site_fract_y
_atom_site_fract_z
_atom_site_occupancy
Ba1 0.2139 0.1131 0.2546 1
Cd1 0.5000 0.0000 0.0000 1
I1 0.1180 0.1682 0.9440 1
I2 0.2815 0.6909 0.9461 1
I3 0.3599 0.0240 0.7457 1
```

Principal peaks in the range 2θ = 10–80°, low angle first:
d_spacing	two_theta	I (rel.)	hkl
3.588	24.81	512	2 1 -2
3.496	25.48	693	0 2 2
3.428	25.99	952	2 1 -1
3.307	26.96	643	1 0 -4
3.178	28.08	528	1 2 -3
2.851	31.37	820	0 2 3
2.811	31.84	1000	1 3 -1
2.759	32.45	582	0 0 4


Entry 2:
Diffraction record for TmZrSc6. The powder diffractogram is calculated, not measured: it uses a structure optimized by DFT (PBE) and Cu Kα.

```
data_TmZrSc6
_space_group_name_H-M_alt 'P -6 m 2'
_space_group_IT_number 187
_space_group_name_Hall 'P -6 2'
_cell_length_a 6.6610
_cell_length_b 6.6610
_cell_length_c 5.1753
_cell_angle_alpha 90.00
_cell_angle_beta 90.00
_cell_angle_gamma 120.00
loop_
_atom_site_label
_atom_site_fract_x
_atom_site_fract_y
_atom_site_fract_z
_atom_site_occupancy
Tm1 0.0000 0.0000 0.0000 1
Zr1 0.3333 0.6667 0.5000 1
Sc1 0.0062 0.5031 0.0000 1
Sc2 0.3386 0.1693 0.5000 1
```

Principal peaks in the range 2θ = 10–80°, low angle first:
d_spacing	two_theta	I (rel.)	hkl
5.769	15.36	194	1 0 0
3.852	23.09	334	1 0 1
2.884	31.00	258	2 0 0
2.588	34.67	239	0 0 2
2.519	35.64	1000	2 0 1
1.926	47.20	186	2 0 2
1.666	55.14	211	2 2 0
1.400	66.81	192	2 2 2


Entry 3:
Diffraction record for Al3BC. The powder diffractogram is calculated, not measured: it uses a structure optimized by DFT (PBE) and Cu Kα.

```
data_Al3BC
_space_group_name_H-M_alt 'P 63/m m c'
_space_group_IT_number 194
_space_group_name_Hall '-P 6c 2c'
_cell_length_a 3.5007
_cell_length_b 3.5007
_cell_length_c 11.5612
_cell_angle_alpha 90.00
_cell_angle_beta 90.00
_cell_angle_gamma 120.00
loop_
_atom_site_label
_atom_site_fract_x
_atom_site_fract_y
_atom_site_fract_z
_atom_site_occupancy
Al1 0.0000 0.0000 0.2500 1
Al2 0.3333 0.6667 0.0756 1
B1 0.0000 0.0000 0.0000 1
C1 0.3333 0.6667 0.2500 1
```

Principal peaks in the range 2θ = 10–80°, low angle first:
d_spacing	two_theta	I (rel.)	hkl
2.933	30.48	996	1 0 1
2.685	33.37	677	1 0 2
2.383	37.75	785	1 0 3
2.092	43.25	554	1 0 4
1.927	47.17	318	0 0 6
1.839	49.58	406	1 0 5
1.750	52.26	1000	1 1 0
1.296	73.03	500	1 1 6


What is the formula in the first record? Ba2CdI6